Entry 1:
The following is a calculated X-ray diffraction stick pattern of YTm5Pb4. It was derived from a GGA-PBE-relaxed structure, using Cu Kα (weighted mean of Kα1 and Kα2).

Peak list (12 most intense, 5 to 70 degrees two-theta, sorted by position)
29.97°, I = 196; 30.22°, I = 231; 30.73°, I = 535; 31.06°, I = 1000; 31.70°, I = 135; 33.74°, I = 240; 35.37°, I = 186; 37.22°, I = 404; 38.09°, I = 133; 40.99°, I = 219; 47.37°, I = 228; 50.25°, I = 182

Cell and atoms:
abc: 8.921 8.921 9.696
angles: 92.68 92.68 23.48
Atoms (fractional coordinates):
1 Y 0.000 0.000 0.000
2 Tm 0.000 0.000 0.500
3 Tm 0.308 0.308 0.611
4 Tm 0.344 0.344 0.248
5 Tm 0.656 0.656 0.752
6 Tm 0.692 0.692 0.389
7 Pb 0.182 0.182 0.066
8 Pb 0.475 0.475 0.746
9 Pb 0.525 0.525 0.254
10 Pb 0.818 0.818 0.934

***

Entry 2:
The following is a calculated X-ray diffraction stick pattern of La3BiI. It was derived from a GGA-PBE-relaxed structure, using Cu Kα (weighted mean of Kα1 and Kα2).

Peak list (12 most intense, 5 to 70 degrees two-theta, sorted by position)
10.15°, I = 591; 10.85°, I = 659; 17.19°, I = 298; 27.12°, I = 996; 29.49°, I = 331; 29.81°, I = 1000; 30.51°, I = 845; 30.77°, I = 422; 32.00°, I = 516; 32.51°, I = 715; 34.67°, I = 572; 41.98°, I = 515

Cell and atoms:
abc: 4.305 9.598 10.769
angles: 107.60 101.52 102.88
Atoms (fractional coordinates):
1 La 0.029 0.422 0.135
2 La 0.188 0.324 0.552
3 La 0.380 0.946 0.318
4 La 0.620 0.054 0.682
5 La 0.812 0.676 0.448
6 La 0.971 0.578 0.865
7 Bi 0.335 0.299 0.868
8 Bi 0.665 0.701 0.132
9 I 0.455 0.713 0.699
10 I 0.545 0.287 0.301

***

Entry 3:
The following is a calculated X-ray diffraction stick pattern of Ce2Er5Tm12. It was derived from a GGA-PBE-relaxed structure, using Cu Kα (weighted mean of Kα1 and Kα2).

Peak list (12 most intense, 5 to 70 degrees two-theta, sorted by position)
30.26°, I = 316; 30.41°, I = 340; 31.31°, I = 1000; 33.33°, I = 109; 34.08°, I = 107; 34.63°, I = 635; 37.87°, I = 183; 49.90°, I = 94; 53.52°, I = 94; 59.99°, I = 146; 60.61°, I = 100; 65.33°, I = 98

Cell and atoms:
abc: 6.086 9.554 10.851
angles: 68.52 80.60 79.63
Atoms (fractional coordinates):
1 Ce 0.000 0.000 0.000
2 Ce 0.385 0.091 0.000
3 Er 0.411 0.599 0.554
4 Er 0.481 0.991 0.449
5 Er 0.706 0.549 0.001
6 Er 0.909 0.105 0.549
7 Er 0.978 0.496 0.444
8 Tm 0.058 0.885 0.327
9 Tm 0.130 0.278 0.234
10 Tm 0.185 0.652 0.115
11 Tm 0.217 0.442 0.884
12 Tm 0.253 0.819 0.764
13 Tm 0.331 0.211 0.671
14 Tm 0.546 0.393 0.344
15 Tm 0.613 0.776 0.222
16 Tm 0.691 0.907 0.845
17 Tm 0.692 0.191 0.151
18 Tm 0.779 0.317 0.778
19 Tm 0.843 0.701 0.655